Theoretical powder diffractogram of Be2Ni2RhO6 for Cu Kα X-rays, from a cell relaxed with GGA+U.

Top 8 peaks for 2θ = 15–90°, by intensity:
hkl 1 0 1, 20.6°, I 1000
hkl 1 1 0, 34.6°, I 502
hkl 1 1 6, 49.4°, I 477
hkl 0 1 5, 34.7°, I 422
hkl 0 1 2, 22.8°, I 173
hkl 0 2 1, 40.6°, I 172
hkl 2 0 5, 49.8°, I 169
hkl 1 2 5, 62.1°, I 157

Structure:
a b c (Å): 5.1867 5.1867 15.7744
angles (deg): 90.00 90.00 120.00
Space group R-3m (No. 166, hexagonal axes)
Symmetry-distinct sites (fractional):
Be 0.0000 0.0000 0.0876 [6 per cell]
Ni 0.0000 0.0000 0.3266 [6 per cell]
Rh 0.0000 0.0000 0.5000 [3 per cell]
O 0.0061 0.5031 0.2533 [18 per cell]